Starting from a DFT-relaxed cell (GGA+U, Alexandria), the X-ray powder pattern of MnBi2F11 was calculated for Cu Kα, 1.54184 Å.
Intensities are scaled so that the largest is 100.

abc: 8.113 8.113 10.146
angles: 124.58 124.58 64.20
Fractional positions:
Mn: 0.110 0.890 0.750
Mn: 0.890 0.110 0.250
Bi: 0.209 0.379 0.811
Bi: 0.379 0.209 0.311
Bi: 0.621 0.791 0.689
Bi: 0.791 0.621 0.189
F: 0.030 0.250 0.493
F: 0.044 0.122 0.720
F: 0.103 0.434 0.241
F: 0.122 0.044 0.220
F: 0.186 0.654 0.774
F: 0.238 0.437 0.049
F: 0.250 0.030 0.993
F: 0.346 0.814 0.726
F: 0.434 0.103 0.741
F: 0.437 0.238 0.549
F: 0.500 0.500 0.000
F: 0.500 0.500 0.500
F: 0.563 0.762 0.451
F: 0.566 0.897 0.259
F: 0.654 0.186 0.274
F: 0.750 0.970 0.007
F: 0.762 0.563 0.951
F: 0.814 0.346 0.226
F: 0.878 0.956 0.780
F: 0.897 0.566 0.759
F: 0.956 0.878 0.280
F: 0.970 0.750 0.507

Peak list (12 most intense, 2θ = 10–90°, in order of falling intensity)
- 24.4 deg, d = 3.652 Å, rel. 100
- 17.6 deg, d = 5.052 Å, rel. 64
- 17.4 deg, d = 5.102 Å, rel. 50
- 25.9 deg, d = 3.436 Å, rel. 43
- 23.6 deg, d = 3.766 Å, rel. 40
- 21.5 deg, d = 4.127 Å, rel. 38
- 23.8 deg, d = 3.741 Å, rel. 36
- 28.2 deg, d = 3.164 Å, rel. 33
- 44.0 deg, d = 2.056 Å, rel. 30
- 21.4 deg, d = 4.148 Å, rel. 26
- 35.5 deg, d = 2.525 Å, rel. 24
- 45.7 deg, d = 1.985 Å, rel. 22